# 1
Computed X-ray diffraction stick pattern of InFeSi for λ = 1.5418 Å (Cu Kα), from DFT lattice parameters and positions (GGA-PBE).
No peak broadening, texture or thermal motion is included.

Top 12 peaks for 2θ from 10° to 80°, most intense first:
index	Position (°2θ)	Rel. int.
2 0 0	26.20	100
0 2 1	35.80	67
2 2 1	44.97	62
1 1 -2	40.53	57
0 0 2	34.83	47
2 2 0	41.14	45
0 2 0	31.15	43
1 1 2	40.69	43
2 2 -1	44.82	34
3 1 -2	56.18	31
2 0 -1	31.41	28
1 1 -1	26.62	24

Structural model:
```
data_InFeSi
_chemical_formula_sum 'In4 Fe4 Si4'
_space_group_name_H-M_alt 'C 1 2 1'
_space_group_IT_number 5
_cell_length_a 6.8037
_cell_length_b 5.7432
_cell_length_c 5.1522
_cell_angle_alpha 90.00
_cell_angle_beta 90.39
_cell_angle_gamma 90.00
loop_
_space_group_symop_operation_xyz
'x,y,z'
'-x,y,-z'
'x+1/2,y+1/2,z'
'-x+1/2,y+1/2,-z'
loop_
_atom_site_label
_atom_site_type_symbol
_atom_site_fract_x
_atom_site_fract_y
_atom_site_fract_z
In1 In 0.2288 0.0000 0.0651
Fe1 Fe 0.2104 0.1465 0.5872
Si1 Si 0.0000 0.4405 0.5000
Si2 Si 0.0000 0.8464 0.5000
```

***

# 2
Computed X-ray diffraction stick pattern of K3DyNp2O9 for λ = 1.5418 Å (Cu Kα), from DFT lattice parameters and positions (GGA-PBE).
No peak broadening, texture or thermal motion is included.

Top 12 peaks for 2θ from 10° to 80°, most intense first:
index	Position (°2θ)	Rel. int.
1 1 0	29.40	100
1 0 1	20.67	74
3 0 0	52.14	42
2 1 1	47.31	35
2 0 2	42.06	31
2 2 0	60.99	19
3 1 2	69.14	18
3 0 3	65.13	17
0 0 3	36.21	10
0 4 2	76.86	6
2 0 5	73.04	6
1 0 0	16.85	2

Structural model:
```
data_K3DyNp2O9
_chemical_formula_sum 'K3 Dy1 Np2 O9'
_space_group_name_H-M_alt 'P -3 m 1'
_space_group_IT_number 164
_space_group_name_Hall '-P 3 2"'
_cell_length_a 6.0756
_cell_length_b 6.0756
_cell_length_c 7.4440
_cell_angle_alpha 90.00
_cell_angle_beta 90.00
_cell_angle_gamma 120.00
loop_
_atom_site_label
_atom_site_type_symbol
_atom_site_fract_x
_atom_site_fract_y
_atom_site_fract_z
K1 K 0.0000 0.0000 0.0000
K2 K 0.3333 0.6667 0.6624
Dy1 Dy 0.0000 0.0000 0.5000
Np1 Np 0.3333 0.6667 0.1668
O1 O 0.0000 0.5000 0.0000
O2 O 0.1752 0.3503 0.3220
```

***

# 3
Computed X-ray diffraction stick pattern of PmH4Pd6 for λ = 1.5418 Å (Cu Kα), from DFT lattice parameters and positions (GGA-PBE).
No peak broadening, texture or thermal motion is included.

Top 12 peaks for 2θ from 10° to 80°, most intense first:
index	Position (°2θ)	Rel. int.
2 2 0	35.87	100
2 2 -2	41.60	39
1 3 -1	41.24	38
3 1 -2	38.05	36
1 1 -2	37.03	35
4 0 -2	42.89	30
0 2 1	32.26	30
2 0 -2	32.81	26
5 3 -2	66.59	23
0 0 2	41.07	23
2 0 1	41.45	19
3 1 -1	33.45	19

Structural model:
```
data_PmH4Pd6
_chemical_formula_sum 'Pm2 H8 Pd12'
_space_group_name_H-M_alt 'C 1 m 1'
_space_group_IT_number 8
_cell_length_a 8.6898
_cell_length_b 7.1702
_cell_length_c 5.4612
_cell_angle_alpha 90.00
_cell_angle_beta 126.40
_cell_angle_gamma 90.00
loop_
_space_group_symop_operation_xyz
'x,y,z'
'x,-y,z'
'x+1/2,y+1/2,z'
'x+1/2,-y+1/2,z'
loop_
_atom_site_label
_atom_site_type_symbol
_atom_site_fract_x
_atom_site_fract_y
_atom_site_fract_z
Pm1 Pm 0.0000 0.0000 0.0000
H1 H 0.0734 0.5000 0.4784
H2 H 0.1723 0.3464 0.0960
H3 H 0.2885 0.0000 0.7573
Pd1 Pd 0.0175 0.0000 0.5132
Pd2 Pd 0.2103 0.2997 0.4598
Pd3 Pd 0.3111 0.1937 0.0495
Pd4 Pd 0.4995 0.0000 0.7358
```

***

# 4
Computed X-ray diffraction stick pattern of Ba2Li5In12 for λ = 1.5418 Å (Cu Kα), from DFT lattice parameters and positions (GGA-PBE).
No peak broadening, texture or thermal motion is included.

Top 12 peaks for 2θ from 10° to 80°, most intense first:
index	Position (°2θ)	Rel. int.
0 0 6	34.59	100
0 2 4	30.39	41
2 2 3	38.83	23
2 1 1	26.89	23
2 0 2	22.87	19
0 0 3	17.10	19
6 0 0	61.98	15
3 0 0	29.85	14
4 0 1	40.61	13
4 4 0	72.98	12
2 2 6	49.73	11
2 4 4	59.42	11

Structural model:
```
data_Ba2Li5In12
_chemical_formula_sum 'Ba6 Li15 In36'
_space_group_name_H-M_alt 'R -3 m'
_space_group_IT_number 166
_space_group_name_Hall '-R 3 2"'
_cell_length_a 10.3677
_cell_length_b 10.3677
_cell_length_c 15.5696
_cell_angle_alpha 90.00
_cell_angle_beta 90.00
_cell_angle_gamma 120.00
loop_
_atom_site_label
_atom_site_type_symbol
_atom_site_fract_x
_atom_site_fract_y
_atom_site_fract_z
Ba1 Ba 0.0000 0.0000 0.1575
Li1 Li 0.0000 0.0000 0.4005
Li2 Li 0.0000 0.5000 0.0000
In1 In 0.0000 0.2852 0.5000
In2 In 0.0100 0.5050 0.3538
```

***

# 5
Computed X-ray diffraction stick pattern of Ba3PrEr3Te8 for λ = 1.5418 Å (Cu Kα), from DFT lattice parameters and positions (GGA-PBE).
No peak broadening, texture or thermal motion is included.

Top 12 peaks for 2θ from 10° to 80°, most intense first:
index	Position (°2θ)	Rel. int.
0 2 4	27.34	100
2 0 8	38.02	37
2 2 0	40.07	37
4 0 4	49.19	20
2 4 4	65.24	16
2 2 12	62.37	14
0 0 3	11.14	12
0 4 8	56.42	12
4 2 8	71.43	11
0 0 12	45.69	6
0 2 7	35.00	6
6 0 0	72.79	6

Structural model:
```
data_Ba3PrEr3Te8
_chemical_formula_sum 'Ba9 Pr3 Er9 Te24'
_space_group_name_H-M_alt 'R -3 m'
_space_group_IT_number 166
_space_group_name_Hall '-R 3 2"'
_cell_length_a 9.0019
_cell_length_b 9.0019
_cell_length_c 23.8269
_cell_angle_alpha 90.00
_cell_angle_beta 90.00
_cell_angle_gamma 120.00
loop_
_atom_site_label
_atom_site_type_symbol
_atom_site_fract_x
_atom_site_fract_y
_atom_site_fract_z
Ba1 Ba 0.0000 0.5000 0.0000
Pr1 Pr 0.0000 0.0000 0.5000
Er1 Er 0.0000 0.5000 0.5000
Te1 Te 0.0000 0.0000 0.2378
Te2 Te 0.0161 0.5080 0.7599
```